Simulated PXRD pattern
Compound: La2Ho3Tm8
Radiation: Cu Ka
Structure: the GGA-PBE geometry in Alexandria
Lines closer than 0.1° are merged.

Cell lengths 7.5667, 5.4322, 11.1893 Å; angles 90.00, 109.71, 90.00 degrees
Fractional coordinates of all 13 atoms:
La 0.2391 0.0000 0.4791
La 0.7609 0.0000 0.5209
Ho 0.0000 0.0000 0.0000
Ho 0.2886 0.5000 0.9999
Ho 0.7114 0.5000 0.0001
Tm 0.1231 0.5000 0.2467
Tm 0.1807 0.0000 0.7885
Tm 0.3437 0.5000 0.6864
Tm 0.3915 0.0000 0.2115
Tm 0.6085 0.0000 0.7885
Tm 0.6563 0.5000 0.3136
Tm 0.8193 0.0000 0.2115
Tm 0.8769 0.5000 0.7533

Principal peaks in the range 2θ from 10° to 90°, low angle first:
Position (°2θ)  intensity
25.01  14
29.31  27
30.31  26
32.98  35
33.51  100
34.05  16
48.12  19
59.23  20

Simulated PXRD pattern
Compound: La5HoTm
Radiation: Cu Ka
Structure: the GGA-PBE geometry in Alexandria
Lines closer than 0.1° are merged.

Cell lengths 9.3830, 9.3830, 9.2222 Å; angles 93.77, 93.77, 141.08 degrees
Fractional coordinates of all 14 atoms:
La 0.0183 0.3884 0.6476
La 0.1372 0.8628 0.7500
La 0.2417 0.5417 0.0337
La 0.3884 0.0183 0.1476
La 0.4583 0.7583 0.4663
La 0.5417 0.2417 0.5337
La 0.6116 0.9817 0.8524
La 0.7583 0.4583 0.9663
La 0.8628 0.1372 0.2500
La 0.9817 0.6116 0.3524
Ho 0.0000 0.0000 0.0000
Ho 0.0000 0.0000 0.5000
Tm 0.4894 0.5106 0.7500
Tm 0.5106 0.4894 0.2500

Principal peaks in the range 2θ from 10° to 90°, low angle first:
Position (°2θ)  intensity
22.58  10
26.75  12
30.31  24
30.61  23
30.80  100
33.67  18
35.41  13
39.85  10

Simulated PXRD pattern
Compound: La2Ho5Tm12
Radiation: Cu Ka
Structure: the GGA-PBE geometry in Alexandria
Lines closer than 0.1° are merged.

Cell lengths 6.1411, 8.6397, 11.8179 Å; angles 93.87, 96.65, 102.91 degrees
Fractional coordinates of all 19 atoms:
La 0.2424 0.1776 0.4852
La 0.7576 0.8224 0.5148
Ho 0.1805 0.5792 0.4359
Ho 0.2782 0.8366 0.9978
Ho 0.5000 0.5000 0.0000
Ho 0.7218 0.1634 0.0022
Ho 0.8195 0.4208 0.5641
Tm 0.0443 0.5201 0.1473
Tm 0.1794 0.1463 0.8440
Tm 0.2082 0.7984 0.6982
Tm 0.2580 0.1870 0.1527
Tm 0.3491 0.8768 0.2918
Tm 0.4091 0.4674 0.7071
Tm 0.5909 0.5326 0.2929
Tm 0.6509 0.1232 0.7082
Tm 0.7420 0.8130 0.8473
Tm 0.7918 0.2016 0.3018
Tm 0.8206 0.8537 0.1560
Tm 0.9557 0.4799 0.8527

Principal peaks in the range 2θ from 10° to 90°, low angle first:
Position (°2θ)  intensity
29.07  21
32.04  46
32.25  33
32.62  100
32.97  45
34.06  29
34.24  25
34.34  14

Simulated PXRD pattern
Compound: LaY2Ho2Tm
Radiation: Cu Ka
Structure: the GGA-PBE geometry in Alexandria
Lines closer than 0.1° are merged.

Cell lengths 6.4875, 17.9612, 3.4126 Å; angles 90.00, 90.00, 90.00 degrees
Fractional coordinates of all 12 atoms:
La 0.0000 0.0000 0.0000
La 0.5000 0.5000 0.5000
Y 0.2130 0.1899 0.0000
Y 0.2870 0.6899 0.5000
Y 0.7130 0.3101 0.5000
Y 0.7870 0.8101 0.0000
Ho 0.2098 0.3543 0.5000
Ho 0.2902 0.8543 0.0000
Ho 0.7098 0.1457 0.0000
Ho 0.7902 0.6457 0.5000
Tm 0.0000 0.5000 0.0000
Tm 0.5000 0.0000 0.5000

Principal peaks in the range 2θ from 10° to 90°, low angle first:
Position (°2θ)  intensity
16.86  49
29.27  100
29.85  81
30.14  92
31.24  59
34.10  80
35.83  68
41.25  46

Simulated PXRD pattern
Compound: LaHoTmZn
Radiation: Cu Ka
Structure: the GGA-PBE geometry in Alexandria
Lines closer than 0.1° are merged.

Cell lengths 3.5685, 3.5685, 8.8361 Å; angles 90.00, 90.00, 90.00 degrees
Fractional coordinates of all 4 atoms:
La 0.0000 0.0000 0.0000
Ho 0.5000 0.5000 0.6946
Tm 0.5000 0.5000 0.3025
Zn 0.0000 0.0000 0.4955

Principal peaks in the range 2θ from 10° to 90°, low angle first:
Position (°2θ)  intensity
26.95  22
30.35  16
32.25  100
35.58  51
47.44  19
51.20  18
58.26  13
61.81  31

Simulated PXRD pattern
Compound: La7YHo12
Radiation: Cu Ka
Structure: the GGA-PBE geometry in Alexandria
Lines closer than 0.1° are merged.

Cell lengths 9.8170, 9.8170, 9.8170 Å; angles 109.47, 109.47, 109.47 degrees
Fractional coordinates of all 20 atoms:
La 0.0000 0.0000 0.5000
La 0.0000 0.5000 0.0000
La 0.0000 0.5000 0.5000
La 0.5000 0.0000 0.0000
La 0.5000 0.0000 0.5000
La 0.5000 0.5000 0.0000
La 0.5000 0.5000 0.5000
Y 0.0000 0.0000 0.0000
Ho 0.0000 0.2472 0.7528
Ho 0.0000 0.7528 0.2472
Ho 0.2472 0.0000 0.7528
Ho 0.2472 0.2472 0.4943
Ho 0.2472 0.4943 0.2472
Ho 0.2472 0.7528 0.0000
Ho 0.4943 0.2472 0.2472
Ho 0.5057 0.7528 0.7528
Ho 0.7528 0.0000 0.2472
Ho 0.7528 0.2472 0.0000
Ho 0.7528 0.5057 0.7528
Ho 0.7528 0.7528 0.5057

Principal peaks in the range 2θ from 10° to 90°, low angle first:
Position (°2θ)  intensity
15.63  29
27.25  78
31.57  100
45.25  74
53.63  36
56.22  26
74.93  33
83.57  25